# BaTePb2O2
Computed powder XRD pattern, λ = 1.5418 Å (Cu Kα). Input: a DFT-relaxed cell (PBE, Alexandria).
Kinematic intensities with the Lorentz-polarization factor, no thermal factor.

Principal peaks in the range 15° ≤ 2θ ≤ 90°, in order of rising 2θ:
d [Å]	two_theta	Rel. int.
3.169	28.16	70.7
3.116	28.65	100.0
2.961	30.18	20.4
2.309	39.00	13.3
2.145	42.13	22.9
1.855	49.13	15.5
1.807	50.50	14.5
1.798	50.78	13.9

Structure:
```
BaTePb2O2
1.0
7.4761 0.0000 0.0000
0.0000 6.2236 0.0000
-2.0164 0.0000 7.3201
Ba Te Pb O
2 2 4 4
Cartesian
0.3645 1.5559 3.2181
5.0953 4.6677 4.1020
2.0744 4.6677 1.7240
3.3853 1.5559 5.5961
-1.1473 1.5559 6.6444
0.9932 4.6677 5.9848
4.4665 1.5559 1.3353
6.6070 4.6677 0.6757
-0.4753 3.1298 5.2174
-0.4753 6.2055 5.2174
5.9350 0.0181 2.1027
5.9350 3.0937 2.1027
```